Record 1
This entry pairs a crystal structure of TaSe2 with its theoretical powder XRD pattern. Radiation: a wavelength of 1.5418 Å. Structure: the GGA-PBE geometry in the Materials Project.
Kinematic intensities with the Lorentz-polarization factor, no thermal factor.

Most intense lines, 15° ≤ 2θ ≤ 90°, most intense first:
(0 3 -1), d = 2.780 Å, I = 100
(1 4 0), d = 2.278 Å, I = 59
(0 1 4), d = 2.770 Å, I = 51
(3 -4 1), d = 1.753 Å, I = 37
(0 4 3), d = 2.270 Å, I = 34
(1 5 4), d = 1.824 Å, I = 31
(1 2 5), d = 2.266 Å, I = 21
(4 3 0), d = 1.833 Å, I = 16

Unit cell a=9.180 b=9.805 c=11.502 alpha=72.28 beta=74.41 gamma=83.40
Space group P-1 (No. 2)
One atom of each set of equivalent atoms:
Ta (0.000, 0.000, 0.000) [1 per cell]
Ta (0.069, 0.214, 0.717) [2 per cell]
Ta (0.152, 0.487, 0.360) [2 per cell]
Ta (0.215, 0.717, 0.069) [2 per cell]
Ta (0.283, 0.930, 0.786) [2 per cell]
Ta (0.359, 0.151, 0.487) [2 per cell]
Ta (0.488, 0.361, 0.152) [2 per cell]
Se (0.003, 0.949, 0.785) [2 per cell]
Se (0.070, 0.275, 0.918) [2 per cell]
Se (0.090, 0.201, 0.479) [2 per cell]
Se (0.132, 0.492, 0.601) [2 per cell]
Se (0.185, 0.427, 0.160) [2 per cell]
Se (0.219, 0.747, 0.290) [2 per cell]
Se (0.233, 0.652, 0.858) [2 per cell]
Se (0.295, 0.977, 0.991) [2 per cell]
Se (0.332, 0.884, 0.558) [2 per cell]
Se (0.366, 0.199, 0.689) [2 per cell]
Se (0.411, 0.109, 0.253) [2 per cell]
Se (0.438, 0.420, 0.370) [2 per cell]
Se (0.491, 0.348, 0.936) [2 per cell]

---

Record 2
This entry pairs a crystal structure of TaSe2 with its theoretical powder XRD pattern. Radiation: a wavelength of 1.5418 Å. Structure: the GGA-PBE geometry in the Materials Project.
Kinematic intensities with the Lorentz-polarization factor, no thermal factor.

Most intense lines, 15° ≤ 2θ ≤ 90°, most intense first:
(-2 1 1), d = 3.700 Å, I = 100
(2 -1 0), d = 3.827 Å, I = 83
(1 2 -1), d = 3.047 Å, I = 67
(3 1 -1), d = 2.158 Å, I = 64
(1 1 0), d = 4.569 Å, I = 62
(-1 4 1), d = 1.948 Å, I = 50
(-1 3 2), d = 2.271 Å, I = 49
(2 -2 0), d = 3.254 Å, I = 48

Unit cell a=7.803 b=8.230 c=9.761 alpha=96.09 beta=97.78 gamma=108.66
Space group P-1 (No. 2)
One atom of each set of equivalent atoms:
Ta (0.000, 0.000, 0.000) [1 per cell]
Ta (0.035, 0.189, 0.249) [2 per cell]
Ta (0.349, 0.862, 0.868) [2 per cell]
Se (0.041, 0.899, 0.245) [2 per cell]
Se (0.159, 0.720, 0.608) [2 per cell]
Se (0.227, 0.327, 0.081) [2 per cell]
Se (0.406, 0.857, 0.125) [2 per cell]
Se (0.467, 0.645, 0.761) [2 per cell]

---

Record 3
This entry pairs a crystal structure of TaSe2 with its theoretical powder XRD pattern. Radiation: a wavelength of 1.5418 Å. Structure: the GGA-PBE geometry in the Materials Project.
Kinematic intensities with the Lorentz-polarization factor, no thermal factor.

Most intense lines, 15° ≤ 2θ ≤ 90°, most intense first:
(1 0 7), d = 2.421 Å, I = 100
(1 1 0), d = 1.737 Å, I = 78
(1 0 5), d = 2.662 Å, I = 68
(1 0 9), d = 2.182 Å, I = 66
(1 0 8), d = 2.300 Å, I = 53
(1 0 2), d = 2.944 Å, I = 50
(1 1 4), d = 1.688 Å, I = 50
(1 0 3), d = 2.869 Å, I = 50

Unit cell a=3.4749 b=3.4749 c=28.5216 alpha=90.00 beta=90.00 gamma=120.00
Space group P6_3mc (No. 186)
One atom of each set of equivalent atoms:
Ta (0.3333, 0.6667, 0.0000) [2 per cell]
Ta (0.3333, 0.6667, 0.2525) [2 per cell]
Se (0.0000, 0.0000, 0.0588) [2 per cell]
Se (0.0000, 0.0000, 0.4412) [2 per cell]
Se (0.3333, 0.6667, 0.6937) [2 per cell]
Se (0.3333, 0.6667, 0.8114) [2 per cell]

---

Record 4
This entry pairs a crystal structure of TaSe2 with its theoretical powder XRD pattern. Radiation: a wavelength of 1.5418 Å. Structure: the GGA-PBE geometry in the Materials Project.
Kinematic intensities with the Lorentz-polarization factor, no thermal factor.

Most intense lines, 15° ≤ 2θ ≤ 90°, most intense first:
(1 0 3), d = 2.536 Å, I = 100
(1 0 5), d = 2.059 Å, I = 69
(1 0 0), d = 3.010 Å, I = 40
(1 1 0), d = 1.738 Å, I = 32
(1 0 2), d = 2.769 Å, I = 20
(1 1 8), d = 1.238 Å, I = 20
(1 1 2), d = 1.687 Å, I = 19
(2 0 3), d = 1.433 Å, I = 17

Unit cell a=3.4757 b=3.4757 c=14.1156 alpha=90.00 beta=90.00 gamma=120.00
Space group P6_3/mmc (No. 194)
One atom of each set of equivalent atoms:
Ta (0.3333, 0.6667, 0.2500) [2 per cell]
Se (0.3333, 0.6667, 0.6313) [4 per cell]

---

Record 5
This entry pairs a crystal structure of TaSe2 with its theoretical powder XRD pattern. Radiation: a wavelength of 1.5418 Å. Structure: the GGA-PBE geometry in the Materials Project.
Kinematic intensities with the Lorentz-polarization factor, no thermal factor.

Most intense lines, 15° ≤ 2θ ≤ 90°, most intense first:
(1 0 7), d = 2.685 Å, I = 100
(0 1 11), d = 2.345 Å, I = 66
(1 0 13), d = 2.178 Å, I = 60
(1 1 0), d = 1.747 Å, I = 54
(1 0 4), d = 2.901 Å, I = 45
(1 1 6), d = 1.692 Å, I = 39
(0 1 17), d = 1.881 Å, I = 38
(1 1 24), d = 1.218 Å, I = 33

Unit cell a=3.4934 b=3.4934 c=40.8127 alpha=90.00 beta=90.00 gamma=120.00
Space group R3m (No. 160, hexagonal axes)
One atom of each set of equivalent atoms:
Ta (0.0000, 0.0000, 0.0000) [3 per cell]
Ta (0.0000, 0.0000, 0.1663) [3 per cell]
Se (0.0000, 0.0000, 0.4590) [3 per cell]
Se (0.0000, 0.0000, 0.6258) [3 per cell]
Se (0.0000, 0.0000, 0.7075) [3 per cell]
Se (0.0000, 0.0000, 0.8736) [3 per cell]

---

Record 6
This entry pairs a crystal structure of TaSe2 with its theoretical powder XRD pattern. Radiation: a wavelength of 1.5418 Å. Structure: the GGA-PBE geometry in the Materials Project.
Kinematic intensities with the Lorentz-polarization factor, no thermal factor.

Most intense lines, 15° ≤ 2θ ≤ 90°, most intense first:
(1 0 2), d = 2.939 Å, I = 100
(1 1 0), d = 1.737 Å, I = 91
(1 0 4), d = 2.755 Å, I = 86
(1 0 8), d = 2.259 Å, I = 81
(1 0 7), d = 2.384 Å, I = 81
(1 0 9), d = 2.139 Å, I = 63
(1 0 6), d = 2.512 Å, I = 61
(1 0 5), d = 2.637 Å, I = 58

Unit cell a=3.4749 b=3.4749 c=27.3609 alpha=90.00 beta=90.00 gamma=120.00
Space group P-6m2 (No. 187)
One atom of each set of equivalent atoms:
Ta (0.0000, 0.0000, 0.0000) [1 per cell]
Ta (0.0000, 0.0000, 0.2498) [2 per cell]
Ta (0.6667, 0.3333, 0.5000) [1 per cell]
Se (0.0000, 0.0000, 0.4386) [2 per cell]
Se (0.3333, 0.6667, 0.1884) [2 per cell]
Se (0.3333, 0.6667, 0.3113) [2 per cell]
Se (0.6667, 0.3333, 0.0614) [2 per cell]

---

Record 7
This entry pairs a crystal structure of Ta2Se3 with its theoretical powder XRD pattern. Radiation: a wavelength of 1.5418 Å. Structure: the GGA-PBE geometry in the Materials Project.
Kinematic intensities with the Lorentz-polarization factor, no thermal factor.

Most intense lines, 15° ≤ 2θ ≤ 90°, most intense first:
(1 1 -3), d = 2.269 Å, I = 100
(1 1 2), d = 2.385 Å, I = 57
(3 1 -1), d = 1.857 Å, I = 47
(2 0 2), d = 2.353 Å, I = 45
(0 2 0), d = 1.714 Å, I = 41
(2 1 1), d = 2.174 Å, I = 39
(0 1 2), d = 2.729 Å, I = 38
(2 1 -1), d = 2.375 Å, I = 36

Unit cell a=6.629 b=3.427 c=9.311 alpha=90.00 beta=104.40 gamma=90.00
Space group P2_1/m (No. 11)
One atom of each set of equivalent atoms:
Ta (0.114, 0.250, 0.135) [2 per cell]
Ta (0.322, 0.250, 0.501) [2 per cell]
Se (0.028, 0.750, 0.343) [2 per cell]
Se (0.272, 0.750, 0.987) [2 per cell]
Se (0.477, 0.750, 0.706) [2 per cell]

---

Record 8
This entry pairs a crystal structure of TaSe2 with its theoretical powder XRD pattern. Radiation: a wavelength of 1.5418 Å. Structure: the GGA-PBE geometry in the Materials Project.
Kinematic intensities with the Lorentz-polarization factor, no thermal factor.

Most intense lines, 15° ≤ 2θ ≤ 90°, most intense first:
(1 7 1), d = 2.280 Å, I = 100
(1 5 1), d = 2.563 Å, I = 91
(1 1 1), d = 2.987 Å, I = 67
(1 3 1), d = 2.823 Å, I = 55
(1 9 1), d = 2.017 Å, I = 55
(1 1 3), d = 1.733 Å, I = 53
(0 6 2), d = 2.422 Å, I = 52
(0 8 2), d = 2.145 Å, I = 40

Unit cell a=3.474 b=24.461 c=6.020 alpha=90.00 beta=90.00 gamma=90.00
Space group Fmm2 (No. 42)
One atom of each set of equivalent atoms:
Ta (0.000, 0.000, 0.000) [4 per cell]
Se (0.000, 0.069, 0.667) [8 per cell]